Theoretical PXRD pattern
Compound: AcPr5In2
Radiation: Cu Kα (weighted mean of Kα1 and Kα2)
Structure: a cell relaxed with PBE

Structure:
Cell: 8.7586 8.7586 8.7586 Å, 154.76 101.88 83.66°
Positions (direct):
Ac: 0.0000 0.0000 0.0000
Pr: 0.1395 0.3605 0.7790
Pr: 0.4185 0.6395 0.7790
Pr: 0.5000 0.0000 0.5000
Pr: 0.5815 0.3605 0.2210
Pr: 0.8605 0.6395 0.2210
In: 0.2365 0.7365 0.5000
In: 0.7635 0.2635 0.5000

Principal peaks in the range 2θ = 15–90°, sorted by position:
| two_theta | intensity |
| --- | --- |
| 29.21 | 95 |
| 31.12 | 73 |
| 31.86 | 100 |
| 32.45 | 41 |
| 45.58 | 38 |
| 57.47 | 42 |